# Sr5Ca3Mn7FeO24
Calculated PXRD pattern, Cu Kα (λ = 1.5418 Å). Input: a structure optimized by DFT (GGA+U).

Top 10 peaks for 2θ from 15° to 90°, in order of rising 2θ:
- 25.77°, rel. 3.8, (2 2 1)
- 32.77°, rel. 100.0, (4 0 0)
- 34.82°, rel. 2.6, (0 0 3)
- 40.42°, rel. 11.8, (4 0 2)
- 47.02°, rel. 42.4, (4 4 0)
- 58.49°, rel. 36.7, (4 0 4)
- 68.69°, rel. 23.5, (8 0 0)
- 78.21°, rel. 15.5, (8 4 0)
- 82.83°, rel. 3.0, (8 4 2)
- 87.41°, rel. 7.7, (8 0 4)

Structure:
a = 10.932 Å, b = 10.935 Å, c = 7.728 Å
α = 90.00°, β = 90.01°, γ = 90.00°
Space group Cm (No. 8)
Symmetry-distinct sites (fractional):
1 Sr 0.000 0.000 0.000
2 Sr 0.000 0.000 0.499
3 Sr 0.250 0.250 0.500
4 Sr 0.499 0.000 0.499
5 Ca 0.000 0.500 0.000
6 Ca 0.250 0.250 0.000
7 Mn 0.000 0.251 0.247
8 Mn 0.000 0.251 0.751
9 Mn 0.249 0.500 0.248
10 Mn 0.249 0.500 0.751
11 Mn 0.251 0.000 0.751
12 Fe 0.251 0.000 0.247
13 O 0.000 0.251 0.501
14 O 0.000 0.254 0.999
15 O 0.124 0.129 0.245
16 O 0.124 0.375 0.758
17 O 0.125 0.376 0.242
18 O 0.126 0.127 0.755
19 O 0.246 0.500 0.000
20 O 0.249 0.500 0.500
21 O 0.251 0.000 0.504
22 O 0.252 0.000 0.995
23 O 0.373 0.373 0.754
24 O 0.373 0.374 0.245
25 O 0.375 0.125 0.757
26 O 0.378 0.127 0.243